(1)
Simulated powder diffractogram of SmY2ErP4 for a wavelength of 1.5418 Å, from a DFT-relaxed cell (PBE, Alexandria).
Lines closer than 0.1° are merged.

The 6 most intense peaks (5 to 70 degrees two-theta), in order of rising 2θ:
3.288 Å, 2θ 27.12, rel. 69; 2.847 Å, 2θ 31.42, rel. 100; 2.013 Å, 2θ 45.03, rel. 72; 1.717 Å, 2θ 53.36, rel. 33; 1.644 Å, 2θ 55.93, rel. 25; 1.424 Å, 2θ 65.57, rel. 12

Atomic structure:
a b c (Å): 6.9731 4.0283 6.9739
angles (deg): 90.00 109.47 90.00
Positions (direct):
Sm: 0.0000 0.0000 0.0000
Y: 0.0000 0.5000 0.5000
Y: 0.5000 0.0000 0.5000
Er: 0.5000 0.5000 0.0000
P: 0.2539 0.0000 0.7503
P: 0.2546 0.5000 0.2527
P: 0.7454 0.5000 0.7473
P: 0.7461 0.0000 0.2497

(2)
Simulated powder diffractogram of Ni6PtRh for a wavelength of 1.5418 Å, from a DFT-relaxed cell (PBE, Alexandria).
Lines closer than 0.1° are merged.

The 6 most intense peaks (5 to 70 degrees two-theta), in order of rising 2θ:
3.641 Å, 2θ 24.45, rel. 19; 2.575 Å, 2θ 34.84, rel. 16; 2.102 Å, 2θ 43.02, rel. 100; 1.821 Å, 2θ 50.10, rel. 47; 1.629 Å, 2θ 56.48, rel. 4; 1.487 Å, 2θ 62.46, rel. 5

Atomic structure:
a b c (Å): 6.3026 6.3026 10.3148
angles (deg): 90.00 90.00 109.48
Positions (direct):
Ni: 0.0000 0.0000 0.0000
Ni: 0.0000 0.0000 0.5000
Ni: 0.1232 0.3743 0.1238
Ni: 0.1232 0.3743 0.8762
Ni: 0.1243 0.3734 0.3737
Ni: 0.1243 0.3734 0.6263
Ni: 0.2486 0.7514 0.2478
Ni: 0.2486 0.7514 0.7522
Ni: 0.3734 0.1243 0.3737
Ni: 0.3734 0.1243 0.6263
Ni: 0.3743 0.1232 0.1238
Ni: 0.3743 0.1232 0.8762
Ni: 0.5000 0.5000 0.0000
Ni: 0.5000 0.5000 0.5000
Ni: 0.6257 0.8768 0.1238
Ni: 0.6257 0.8768 0.8762
Ni: 0.6266 0.8757 0.3737
Ni: 0.6266 0.8757 0.6263
Ni: 0.7514 0.2486 0.2478
Ni: 0.7514 0.2486 0.7522
Ni: 0.8757 0.6266 0.3737
Ni: 0.8757 0.6266 0.6263
Ni: 0.8768 0.6257 0.1238
Ni: 0.8768 0.6257 0.8762
Pt: 0.2495 0.7505 0.5000
Pt: 0.5000 0.5000 0.2492
Pt: 0.5000 0.5000 0.7508
Pt: 0.7505 0.2495 0.5000
Rh: 0.0000 0.0000 0.2495
Rh: 0.0000 0.0000 0.7505
Rh: 0.2492 0.7508 0.0000
Rh: 0.7508 0.2492 0.0000

(3)
Simulated powder diffractogram of Li2La2Ti3O10 for a wavelength of 1.5418 Å, from a DFT-relaxed cell (PBE, Alexandria).
Lines closer than 0.1° are merged.

The 6 most intense peaks (5 to 70 degrees two-theta), in order of rising 2θ:
13.378 Å, 2θ 6.61, rel. 100; 6.689 Å, 2θ 13.24, rel. 21; 3.139 Å, 2θ 28.43, rel. 63; 2.741 Å, 2θ 32.67, rel. 34; 2.722 Å, 2θ 32.91, rel. 45; 1.938 Å, 2θ 46.87, rel. 29

Atomic structure:
a b c (Å): 13.6557 13.6557 13.6557
angles (deg): 163.68 163.68 23.16
Positions (direct):
Li: 0.2500 0.7500 0.5000
Li: 0.7500 0.2500 0.5000
La: 0.0813 0.0813 0.0000
La: 0.9187 0.9187 0.0000
Ti: 0.3423 0.3423 0.0000
Ti: 0.5000 0.5000 0.0000
Ti: 0.6577 0.6577 0.0000
O: 0.0000 0.5000 0.5000
O: 0.1425 0.6425 0.5000
O: 0.2755 0.2755 0.0000
O: 0.3575 0.8575 0.5000
O: 0.4274 0.4274 0.0000
O: 0.5000 0.0000 0.5000
O: 0.5726 0.5726 0.0000
O: 0.6425 0.1425 0.5000
O: 0.7245 0.7245 0.0000
O: 0.8575 0.3575 0.5000

(4)
Simulated powder diffractogram of Na2BiBPO7 for a wavelength of 1.5418 Å, from a DFT-relaxed cell (PBE, Alexandria).
Lines closer than 0.1° are merged.

The 6 most intense peaks (5 to 70 degrees two-theta), in order of rising 2θ:
9.535 Å, 2θ 9.27, rel. 100; 5.641 Å, 2θ 15.71, rel. 41; 4.727 Å, 2θ 18.77, rel. 25; 4.312 Å, 2θ 20.60, rel. 35; 3.941 Å, 2θ 22.56, rel. 30; 3.498 Å, 2θ 25.46, rel. 26

Atomic structure:
a b c (Å): 5.4766 6.9966 9.5359
angles (deg): 90.00 90.63 90.00
Positions (direct):
Na: 0.2273 0.0066 0.2133
Na: 0.2273 0.4934 0.2133
Na: 0.7727 0.5066 0.7867
Na: 0.7727 0.9934 0.7867
Bi: 0.3130 0.2500 0.6227
Bi: 0.6870 0.7500 0.3773
B: 0.2776 0.2500 0.9048
B: 0.7224 0.7500 0.0952
P: 0.2455 0.7500 0.5992
P: 0.7545 0.2500 0.4008
O: 0.0284 0.2500 0.3694
O: 0.0637 0.2500 0.8243
O: 0.2481 0.2500 0.0457
O: 0.2783 0.7500 0.4338
O: 0.3832 0.5732 0.6602
O: 0.3832 0.9268 0.6602
O: 0.4951 0.2500 0.8334
O: 0.5049 0.7500 0.1666
O: 0.6168 0.0732 0.3398
O: 0.6168 0.4268 0.3398
O: 0.7217 0.2500 0.5662
O: 0.7519 0.7500 0.9543
O: 0.9363 0.7500 0.1757
O: 0.9716 0.7500 0.6306

Repeat the first record exactly.
Simulated powder diffractogram of SmY2ErP4 for a wavelength of 1.5418 Å, from a DFT-relaxed cell (PBE, Alexandria).
Lines closer than 0.1° are merged.

The 6 most intense peaks (5 to 70 degrees two-theta), in order of rising 2θ:
3.288 Å, 2θ 27.12, rel. 69; 2.847 Å, 2θ 31.42, rel. 100; 2.013 Å, 2θ 45.03, rel. 72; 1.717 Å, 2θ 53.36, rel. 33; 1.644 Å, 2θ 55.93, rel. 25; 1.424 Å, 2θ 65.57, rel. 12

Atomic structure:
a b c (Å): 6.9731 4.0283 6.9739
angles (deg): 90.00 109.47 90.00
Positions (direct):
Sm: 0.0000 0.0000 0.0000
Y: 0.0000 0.5000 0.5000
Y: 0.5000 0.0000 0.5000
Er: 0.5000 0.5000 0.0000
P: 0.2539 0.0000 0.7503
P: 0.2546 0.5000 0.2527
P: 0.7454 0.5000 0.7473
P: 0.7461 0.0000 0.2497